Diffraction record for LiHg3OsS4. The powder X-ray diffraction pattern is theoretical, not measured: it uses the PBE geometry in OQMD and Cu Kα (λ = 1.5418 Å).

Top 10 peaks for 5° ≤ 2θ ≤ 70°, most intense first:
14.74°, d = 6.011 Å, rel. 100; 42.54°, d = 2.125 Å, rel. 89; 33.33°, d = 2.688 Å, rel. 61; 29.73°, d = 3.005 Å, rel. 59; 25.67°, d = 3.470 Å, rel. 51; 45.26°, d = 2.004 Å, rel. 32; 50.35°, d = 1.812 Å, rel. 25; 63.85°, d = 1.458 Å, rel. 19; 52.76°, d = 1.735 Å, rel. 17; 61.73°, d = 1.503 Å, rel. 15

Cell and atoms:
```
LiHg3OsS4
1.0
6.0106 0.0000 0.0000
0.0000 6.0106 0.0000
0.0000 0.0000 6.0106
Li Hg Os S
1 3 1 4
Direct
0.0000 0.0000 0.0000 Li
0.0000 0.5000 0.5000 Hg
0.5000 0.0000 0.5000 Hg
0.5000 0.5000 0.0000 Hg
0.5000 0.5000 0.5000 Os
0.2448 0.2448 0.2448 S
0.2448 0.7552 0.7552 S
0.7552 0.2448 0.7552 S
0.7552 0.7552 0.2448 S
```


Diffraction record for KPrP4O12. The powder X-ray diffraction pattern is theoretical, not measured: it uses the PBE geometry in OQMD and Cu Kα (λ = 1.5418 Å).

Top 10 peaks for 5° ≤ 2θ ≤ 70°, most intense first:
27.25°, d = 3.273 Å, rel. 100; 16.22°, d = 5.466 Å, rel. 75; 26.83°, d = 3.323 Å, rel. 68; 15.33°, d = 5.778 Å, rel. 60; 28.79°, d = 3.101 Å, rel. 53; 29.54°, d = 3.024 Å, rel. 49; 16.87°, d = 5.254 Å, rel. 44; 41.70°, d = 2.166 Å, rel. 40; 35.40°, d = 2.536 Å, rel. 26; 34.44°, d = 2.604 Å, rel. 24

Cell and atoms:
```
KPrP4O12
1.0
7.2267 0.0000 0.0000
0.0000 8.3751 0.0000
-0.3100 0.0000 7.9818
K Pr P O
2 2 8 24
Direct
0.2233 0.0000 0.2759 K
0.7767 0.5000 0.7241 K
0.2681 0.2985 0.7564 Pr
0.7319 0.7985 0.2436 Pr
0.0602 0.9206 0.8964 P
0.1265 0.5599 0.4013 P
0.3953 0.7182 0.8980 P
0.4938 0.9451 0.6202 P
0.5062 0.4451 0.3798 P
0.6047 0.2182 0.1020 P
0.8735 0.0599 0.5987 P
0.9398 0.4206 0.1036 P
0.0420 0.7156 0.3484 O
0.0465 0.4167 0.2836 O
0.0762 0.3914 0.9709 O
0.1147 0.5069 0.5789 O
0.1795 0.7607 0.8687 O
0.1842 0.0618 0.9265 O
0.3192 0.0414 0.6077 O
0.3376 0.5664 0.3476 O
0.4241 0.5580 0.8211 O
0.4515 0.7469 0.0778 O
0.4694 0.3363 0.5232 O
0.4916 0.3490 0.2059 O
0.5084 0.8490 0.7941 O
0.5306 0.8363 0.4768 O
0.5485 0.2469 0.9222 O
0.5759 0.0580 0.1789 O
0.6624 0.0664 0.6524 O
0.6808 0.5414 0.3923 O
0.8158 0.5618 0.0735 O
0.8205 0.2607 0.1313 O
0.8853 0.0069 0.4211 O
0.9238 0.8914 0.0291 O
0.9535 0.9167 0.7164 O
0.9580 0.2156 0.6516 O
```


Diffraction record for RbMoSe2. The powder X-ray diffraction pattern is theoretical, not measured: it uses the PBE geometry in OQMD and Cu Kα (λ = 1.5418 Å).

Top 10 peaks for 5° ≤ 2θ ≤ 70°, most intense first:
26.97°, d = 3.306 Å, rel. 100; 30.65°, d = 2.917 Å, rel. 71; 14.82°, d = 5.978 Å, rel. 61; 25.19°, d = 3.535 Å, rel. 61; 37.38°, d = 2.406 Å, rel. 59; 14.29°, d = 6.200 Å, rel. 55; 50.62°, d = 1.803 Å, rel. 35; 51.71°, d = 1.768 Å, rel. 33; 47.86°, d = 1.901 Å, rel. 30; 41.03°, d = 2.200 Å, rel. 29

Cell and atoms:
```
RbMoSe2
1.0
0.0000 6.8234 12.3995
2.9591 0.0000 12.3995
2.9591 6.8234 0.0000
Rb Mo Se
4 4 8
Direct
0.0526 0.0526 0.6974 Rb
0.3026 0.3026 0.9474 Rb
0.6974 0.6974 0.0526 Rb
0.9474 0.9474 0.3026 Rb
0.1250 0.1250 0.1250 Mo
0.3750 0.3750 0.3750 Mo
0.6250 0.6250 0.6250 Mo
0.8750 0.8750 0.8750 Mo
0.0311 0.3296 0.4203 Se
0.2810 0.5797 0.6704 Se
0.3296 0.0311 0.7190 Se
0.4203 0.7190 0.0311 Se
0.5797 0.2810 0.9689 Se
0.6704 0.9689 0.2810 Se
0.7190 0.4203 0.3296 Se
0.9689 0.6704 0.5797 Se
```


Diffraction record for CsNdS2O8. The powder X-ray diffraction pattern is theoretical, not measured: it uses the PBE geometry in OQMD and Cu Kα (λ = 1.5418 Å).

Top 10 peaks for 5° ≤ 2θ ≤ 70°, most intense first:
22.89°, d = 3.885 Å, rel. 100; 27.13°, d = 3.287 Å, rel. 97; 32.79°, d = 2.731 Å, rel. 84; 22.75°, d = 3.909 Å, rel. 70; 42.21°, d = 2.141 Å, rel. 59; 43.81°, d = 2.066 Å, rel. 49; 27.01°, d = 3.302 Å, rel. 43; 25.82°, d = 3.450 Å, rel. 33; 33.10°, d = 2.706 Å, rel. 31; 12.84°, d = 6.894 Å, rel. 29

Cell and atoms:
```
CsNdS2O8
1.0
9.4915 0.0000 0.0000
0.0000 13.7881 0.0000
0.0000 0.0000 5.4129
Cs Nd S O
4 4 8 32
Direct
0.0774 0.2500 0.2500 Cs
0.4226 0.7500 0.2500 Cs
0.5774 0.2500 0.7500 Cs
0.9226 0.7500 0.7500 Cs
0.2500 0.0000 0.6760 Nd
0.2500 0.5000 0.8240 Nd
0.7500 0.0000 0.3240 Nd
0.7500 0.5000 0.1760 Nd
0.0855 0.5877 0.2634 S
0.0855 0.9123 0.2366 S
0.4145 0.0877 0.2366 S
0.4145 0.4123 0.2634 S
0.5855 0.5877 0.7366 S
0.5855 0.9123 0.7634 S
0.9145 0.0877 0.7634 S
0.9145 0.4123 0.7366 S
0.0649 0.1176 0.7766 O
0.0649 0.3824 0.7234 O
0.0955 0.0173 0.3023 O
0.0955 0.4827 0.1977 O
0.1533 0.6066 0.5055 O
0.1533 0.8934 0.9945 O
0.1587 0.6425 0.0629 O
0.1587 0.8575 0.4371 O
0.3413 0.1425 0.4371 O
0.3413 0.3575 0.0629 O
0.3467 0.1066 0.9945 O
0.3467 0.3934 0.5055 O
0.4045 0.5173 0.1977 O
0.4045 0.9827 0.3023 O
0.4351 0.6176 0.7234 O
0.4351 0.8824 0.7766 O
0.5649 0.1176 0.2234 O
0.5649 0.3824 0.2766 O
0.5955 0.0173 0.6977 O
0.5955 0.4827 0.8023 O
0.6533 0.6066 0.4945 O
0.6533 0.8934 0.0055 O
0.6587 0.6425 0.9371 O
0.6587 0.8575 0.5629 O
0.8413 0.1425 0.5629 O
0.8413 0.3575 0.9371 O
0.8467 0.1066 0.0055 O
0.8467 0.3934 0.4945 O
0.9045 0.5173 0.8023 O
0.9045 0.9827 0.6977 O
0.9351 0.6176 0.2766 O
0.9351 0.8824 0.2234 O
```


Diffraction record for NdTcBr. The powder X-ray diffraction pattern is theoretical, not measured: it uses the PBE geometry in OQMD and Cu Kα (λ = 1.5418 Å).

Top 10 peaks for 5° ≤ 2θ ≤ 70°, most intense first:
7.33°, d = 12.055 Å, rel. 100; 29.26°, d = 3.052 Å, rel. 39; 43.97°, d = 2.059 Å, rel. 37; 33.82°, d = 2.650 Å, rel. 24; 33.36°, d = 2.686 Å, rel. 22; 45.11°, d = 2.010 Å, rel. 17; 33.14°, d = 2.703 Å, rel. 16; 28.75°, d = 3.105 Å, rel. 14; 34.07°, d = 2.632 Å, rel. 11; 37.30°, d = 2.411 Å, rel. 8

Cell and atoms:
```
NdTcBr
1.0
7.1326 0.0000 0.0000
0.0000 4.1204 0.0000
-0.3246 0.0000 12.0549
Nd Tc Br
4 4 4
Direct
0.0087 0.0000 0.1867 Nd
0.4913 0.5000 0.8133 Nd
0.5087 0.5000 0.1867 Nd
0.9913 0.0000 0.8133 Nd
0.1659 0.5000 0.9834 Tc
0.3341 0.0000 0.0166 Tc
0.6659 0.0000 0.9834 Tc
0.8341 0.5000 0.0166 Tc
0.1823 0.5000 0.3459 Br
0.3177 0.0000 0.6541 Br
0.6823 0.0000 0.3459 Br
0.8177 0.5000 0.6541 Br
```


Diffraction record for BaLiErS3. The powder X-ray diffraction pattern is theoretical, not measured: it uses the PBE geometry in OQMD and Cu Kα (λ = 1.5418 Å).

Top 10 peaks for 5° ≤ 2θ ≤ 70°, most intense first:
21.79°, d = 4.078 Å, rel. 100; 43.90°, d = 2.062 Å, rel. 48; 30.85°, d = 2.899 Å, rel. 40; 29.55°, d = 3.023 Å, rel. 37; 44.45°, d = 2.038 Å, rel. 36; 34.47°, d = 2.602 Å, rel. 30; 22.79°, d = 3.901 Å, rel. 25; 35.10°, d = 2.556 Å, rel. 24; 26.36°, d = 3.381 Å, rel. 23; 50.05°, d = 1.823 Å, rel. 22

Cell and atoms:
```
BaLiErS3
1.0
10.2252 0.0000 0.0000
0.0000 4.0747 0.0000
0.0000 0.0000 13.5232
Ba Li Er S
4 4 4 12
Direct
0.2442 0.2500 0.0049 Ba
0.2558 0.7500 0.5049 Ba
0.7442 0.2500 0.4951 Ba
0.7558 0.7500 0.9951 Ba
0.2442 0.7500 0.7784 Li
0.2558 0.2500 0.2784 Li
0.7442 0.7500 0.7216 Li
0.7558 0.2500 0.2216 Li
0.0058 0.7500 0.2521 Er
0.4942 0.2500 0.7521 Er
0.5058 0.7500 0.2479 Er
0.9942 0.2500 0.7479 Er
0.0531 0.7500 0.8779 S
0.0660 0.2500 0.3800 S
0.2450 0.2500 0.6843 S
0.2550 0.7500 0.1843 S
0.4340 0.7500 0.8800 S
0.4469 0.2500 0.3779 S
0.5531 0.7500 0.6221 S
0.5660 0.2500 0.1200 S
0.7450 0.2500 0.8157 S
0.7550 0.7500 0.3157 S
0.9340 0.7500 0.6200 S
0.9469 0.2500 0.1221 S
```


Diffraction record for MgMo. The powder X-ray diffraction pattern is theoretical, not measured: it uses the PBE geometry in OQMD and Cu Kα (λ = 1.5418 Å).

Top 10 peaks for 5° ≤ 2θ ≤ 70°, most intense first:
38.89°, d = 2.316 Å, rel. 100; 8.95°, d = 9.878 Å, rel. 45; 39.43°, d = 2.285 Å, rel. 24; 17.96°, d = 4.939 Å, rel. 18; 28.88°, d = 3.092 Å, rel. 13; 56.54°, d = 1.628 Å, rel. 12; 46.14°, d = 1.968 Å, rel. 10; 43.77°, d = 2.068 Å, rel. 9; 21.16°, d = 4.198 Å, rel. 7; 21.42°, d = 4.148 Å, rel. 7

Cell and atoms:
```
MgMo
1.0
4.5708 0.0000 0.0000
0.0000 9.8781 0.0000
0.0000 0.0000 4.6382
Mg Mo
6 6
Direct
0.0000 0.0757 0.0000 Mg
0.0000 0.4050 0.9815 Mg
0.0000 0.5950 0.4815 Mg
0.0000 0.9243 0.5000 Mg
0.5000 0.4022 0.4103 Mg
0.5000 0.5978 0.9103 Mg
0.0000 0.2332 0.4995 Mo
0.0000 0.7668 0.9995 Mo
0.5000 0.0945 0.4323 Mo
0.5000 0.2249 0.8963 Mo
0.5000 0.7751 0.3963 Mo
0.5000 0.9055 0.9323 Mo
```


Diffraction record for HfTl2Se3. The powder X-ray diffraction pattern is theoretical, not measured: it uses the PBE geometry in OQMD and Cu Kα (λ = 1.5418 Å).

Top 10 peaks for 5° ≤ 2θ ≤ 70°, most intense first:
32.50°, d = 2.755 Å, rel. 100; 44.89°, d = 2.019 Å, rel. 70; 30.10°, d = 2.969 Å, rel. 69; 22.73°, d = 3.912 Å, rel. 66; 56.53°, d = 1.628 Å, rel. 31; 25.58°, d = 3.482 Å, rel. 30; 46.69°, d = 1.945 Å, rel. 27; 24.05°, d = 3.700 Å, rel. 24; 26.68°, d = 3.341 Å, rel. 23; 28.01°, d = 3.186 Å, rel. 21

Cell and atoms:
```
HfTl2Se3
1.0
15.6015 0.0000 0.0000
0.0000 3.8914 0.0000
0.0000 0.0000 11.8742
Hf Tl Se
4 8 12
Direct
0.0702 0.2500 0.1241 Hf
0.4298 0.7500 0.6241 Hf
0.5702 0.2500 0.3759 Hf
0.9298 0.7500 0.8759 Hf
0.0843 0.2500 0.6282 Tl
0.2217 0.7500 0.3636 Tl
0.2783 0.2500 0.8636 Tl
0.4157 0.7500 0.1282 Tl
0.5843 0.2500 0.8718 Tl
0.7217 0.7500 0.1364 Tl
0.7783 0.2500 0.6364 Tl
0.9157 0.7500 0.3718 Tl
0.0520 0.2500 0.8894 Se
0.0663 0.2500 0.3437 Se
0.1872 0.7500 0.1026 Se
0.3128 0.2500 0.6026 Se
0.4337 0.7500 0.8437 Se
0.4480 0.7500 0.3894 Se
0.5520 0.2500 0.6106 Se
0.5663 0.2500 0.1563 Se
0.6872 0.7500 0.3974 Se
0.8128 0.2500 0.8974 Se
0.9337 0.7500 0.6563 Se
0.9480 0.7500 0.1106 Se
```


Diffraction record for Rb2Sm2O3. The powder X-ray diffraction pattern is theoretical, not measured: it uses the PBE geometry in OQMD and Cu Kα (λ = 1.5418 Å).

Top 10 peaks for 5° ≤ 2θ ≤ 70°, most intense first:
27.06°, d = 3.295 Å, rel. 100; 26.92°, d = 3.312 Å, rel. 81; 47.76°, d = 1.904 Å, rel. 55; 38.54°, d = 2.336 Å, rel. 42; 19.00°, d = 4.672 Å, rel. 19; 16.34°, d = 5.424 Å, rel. 18; 55.80°, d = 1.647 Å, rel. 17; 31.65°, d = 2.827 Å, rel. 15; 63.02°, d = 1.475 Å, rel. 15; 58.21°, d = 1.585 Å, rel. 10

Cell and atoms:
```
Rb2Sm2O3
1.0
3.2948 1.9023 5.4238
-3.2948 1.9023 5.4238
0.0000 -3.8046 5.4238
Rb Sm O
2 2 3
Direct
0.0000 0.0000 0.0000 Rb
0.5000 0.5000 0.5000 Rb
0.2270 0.2270 0.2270 Sm
0.7730 0.7730 0.7730 Sm
0.0000 0.0000 0.5000 O
0.0000 0.5000 0.0000 O
0.5000 0.0000 0.0000 O
```